# HfTi2Ge3
Calculated X-ray powder pattern, a wavelength of 1.5418 Å. Input: a cell relaxed with PBE.
Kinematic intensities with the Lorentz-polarization factor, no thermal factor.

Cell and atoms:
```
data_HfTi2Ge3
_symmetry_space_group_name_H-M 'P m c 21'
_symmetry_Int_Tables_number 26
_cell_length_a 3.7161
_cell_length_b 9.1714
_cell_length_c 6.4468
_cell_angle_alpha 90.00
_cell_angle_beta 90.00
_cell_angle_gamma 90.00
loop_
_symmetry_equiv_pos_as_xyz
'x,y,z'
'-x,-y,z+1/2'
'-x,y,z'
'x,-y,z+1/2'
loop_
_atom_site_label
_atom_site_type_symbol
_atom_site_fract_x
_atom_site_fract_y
_atom_site_fract_z
_atom_site_occupancy
Hf1 Hf 0.0000 0.1614 0.0000 1
Ti1 Ti 0.0000 0.1660 0.5094 1
Ti2 Ti 0.5000 0.4945 0.0048 1
Ge1 Ge 0.0000 0.3940 0.7475 1
Ge2 Ge 0.5000 0.0185 0.7456 1
Ge3 Ge 0.5000 0.2765 0.2657 1
```

Most intense lines, 10° ≤ 2θ ≤ 90°, in order of rising 2θ:
hkl 0 1 1, 16.81°, I = 47; hkl 1 1 1, 29.40°, I = 69; hkl 1 2 1, 34.02°, I = 50; hkl 1 0 2, 36.91°, I = 42; hkl 1 3 0, 38.12°, I = 39; hkl 1 1 2, 38.24°, I = 100; hkl 0 3 2, 40.67°, I = 85; hkl 1 4 0, 46.54°, I = 48; hkl 2 0 0, 49.03°, I = 37; hkl 2 3 2, 65.53°, I = 42